Structure and simulated X-ray powder pattern of Ba2YAs2O6 (the GGA-PBE geometry in Alexandria; Cu Kα (λ = 1.5418 Å)).
Neutral-atom scattering factors, no anomalous dispersion.

Main lines, sorted by position (5 to 70 degrees two-theta):
2θ 25.49, rel. 84, (1 1 1); 2θ 26.27, rel. 100, (3 1 -1); 2θ 30.76, rel. 22, (0 0 2); 2θ 30.99, rel. 37, (4 0 0); 2θ 31.51, rel. 41, (0 2 0); 2θ 32.07, rel. 17, (4 0 -2); 2θ 32.20, rel. 17, (1 1 -2); 2θ 32.83, rel. 23, (3 1 -2); 2θ 44.78, rel. 35, (4 2 0); 2θ 51.46, rel. 15, (5 1 1)

Cell and atoms:
Cell lengths 13.0104, 5.6783, 6.5523 Å; angles 90.00, 117.49, 90.00 degrees
Space group C2/m (No. 12)
Asymmetric unit:
Ba (0.2350, 0.0000, 0.2315) [4 per cell]
Y (0.0000, 0.0000, 0.5000) [2 per cell]
As (0.0066, 0.5000, 0.8054) [4 per cell]
O (0.0841, 0.2637, 0.3432) [8 per cell]
O (0.1706, 0.0000, 0.8071) [4 per cell]

=====

Structure and simulated X-ray powder pattern of BaZnAsO4 (the GGA-PBE geometry in Alexandria; Cu Kα (λ = 1.5418 Å)).
Neutral-atom scattering factors, no anomalous dispersion.

Main lines, sorted by position (5 to 70 degrees two-theta):
2θ 17.96, rel. 27, (1 1 1); 2θ 20.77, rel. 31, (2 0 0); 2θ 29.54, rel. 100, (2 2 0); 2θ 34.79, rel. 13, (3 1 1); 2θ 36.39, rel. 11, (2 2 2); 2θ 42.27, rel. 11, (4 0 0); 2θ 47.54, rel. 12, (4 2 0); 2θ 52.41, rel. 39, (4 2 2); 2θ 61.31, rel. 17, (4 4 0); 2θ 69.51, rel. 16, (6 2 0)

Cell and atoms:
Cell lengths 8.5532, 8.5532, 8.5532 Å; angles 90.00, 90.00, 90.00 degrees
Space group F-43m (No. 216)
Asymmetric unit:
Ba (0.0000, 0.0000, 0.0000) [4 per cell]
Zn (0.2500, 0.2500, 0.7500) [4 per cell]
As (0.0000, 0.0000, 0.5000) [4 per cell]
O (0.1194, 0.1194, 0.6194) [16 per cell]

=====

Structure and simulated X-ray powder pattern of BaAs2OsSe (the GGA-PBE geometry in Alexandria; Cu Kα (λ = 1.5418 Å)).
Neutral-atom scattering factors, no anomalous dispersion.

Main lines, sorted by position (5 to 70 degrees two-theta):
2θ 18.69, rel. 28, (1 0 0); 2θ 24.23, rel. 94, (1 0 1); 2θ 26.55, rel. 39, (1 1 0); 2θ 30.82, rel. 100, (0 0 2); 2θ 37.90, rel. 80, (2 0 0); 2θ 41.13, rel. 32, (1 1 2); 2θ 45.50, rel. 36, (2 1 1); 2θ 49.64, rel. 73, (2 0 2); 2θ 54.69, rel. 27, (2 2 0); 2θ 64.10, rel. 41, (2 2 2)

Cell and atoms:
Cell lengths 4.7473, 4.7473, 5.7980 Å; angles 90.00, 90.00, 90.00 degrees
Space group P4/mmm (No. 123)
Asymmetric unit:
Ba (0.0000, 0.0000, 0.0000) [1 per cell]
As (0.0000, 0.5000, 0.5000) [2 per cell]
Os (0.5000, 0.5000, 0.5000) [1 per cell]
Se (0.5000, 0.5000, 0.0000) [1 per cell]

=====

Structure and simulated X-ray powder pattern of Ba3AsP (the GGA-PBE geometry in Alexandria; Cu Kα (λ = 1.5418 Å)).
Neutral-atom scattering factors, no anomalous dispersion.

Main lines, sorted by position (5 to 70 degrees two-theta):
2θ 22.57, rel. 61, (2 1 -1); 2θ 22.78, rel. 88, (1 0 2); 2θ 23.44, rel. 73, (1 2 -1); 2θ 27.77, rel. 100, (0 2 2); 2θ 30.05, rel. 75, (2 2 1); 2θ 31.35, rel. 55, (1 1 -3); 2θ 32.37, rel. 47, (1 3 -1); 2θ 33.19, rel. 41, (3 1 1); 2θ 34.30, rel. 40, (3 1 -2); 2θ 49.50, rel. 50, (4 3 -1)

Cell and atoms:
Cell lengths 9.3775, 9.0471, 9.2002 Å; angles 90.00, 97.32, 90.00 degrees
Space group P2_1/c (No. 14)
Asymmetric unit:
Ba (0.0693, 0.0157, 0.2328) [4 per cell]
Ba (0.2945, 0.1101, 0.5878) [4 per cell]
Ba (0.3781, 0.6788, 0.5199) [4 per cell]
As (0.0515, 0.7243, 0.0097) [4 per cell]
P (0.4240, 0.0896, 0.2644) [4 per cell]

=====

Structure and simulated X-ray powder pattern of Ba6AsP3 (the GGA-PBE geometry in Alexandria; Cu Kα (λ = 1.5418 Å)).
Neutral-atom scattering factors, no anomalous dispersion.

Main lines, sorted by position (5 to 70 degrees two-theta):
2θ 14.86, rel. 11, (0 1 2); 2θ 24.60, rel. 19, (0 0 6); 2θ 24.87, rel. 100, (2 -1 3); 2θ 32.95, rel. 27, (1 1 6); 2θ 33.49, rel. 10, (3 -1 1); 2θ 37.83, rel. 26, (3 0 0); 2θ 43.48, rel. 22, (2 -1 9); 2θ 45.65, rel. 13, (0 3 6); 2θ 45.81, rel. 12, (2 2 3); 2θ 58.95, rel. 10, (2 2 9)

Cell and atoms:
Cell lengths 8.2385, 8.2385, 21.7094 Å; angles 90.00, 90.00, 120.00 degrees
Space group R3 (No. 146, hexagonal axes)
Asymmetric unit:
Ba (0.0034, 0.7045, 0.0000) [9 per cell]
Ba (0.0107, 0.2965, 0.5012) [9 per cell]
As (0.0000, 0.0000, 0.1081) [3 per cell]
P (0.0000, 0.0000, 0.3973) [3 per cell]
P (0.0000, 0.0000, 0.6055) [3 per cell]
P (0.0000, 0.0000, 0.8990) [3 per cell]

=====

Structure and simulated X-ray powder pattern of Ba2AsPPt6 (the GGA-PBE geometry in Alexandria; Cu Kα (λ = 1.5418 Å)).
Neutral-atom scattering factors, no anomalous dispersion.

Main lines, sorted by position (5 to 70 degrees two-theta):
2θ 15.61, rel. 31, (0 0 3); 2θ 30.53, rel. 46, (0 1 5); 2θ 31.31, rel. 30, (1 1 3); 2θ 33.01, rel. 100, (2 0 2); 2θ 37.87, rel. 56, (0 2 4); 2θ 40.27, rel. 21, (1 0 7); 2θ 41.18, rel. 21, (2 0 5); 2θ 42.09, rel. 24, (2 1 1); 2θ 50.44, rel. 28, (0 3 3); 2θ 55.60, rel. 28, (2 2 0)

Cell and atoms:
Cell lengths 6.6120, 6.6120, 17.0349 Å; angles 90.00, 90.00, 120.00 degrees
Space group R-3m (No. 166, hexagonal axes)
Asymmetric unit:
Ba (0.0000, 0.0000, 0.2112) [6 per cell]
As (0.0000, 0.0000, 0.5000) [3 per cell]
P (0.0000, 0.0000, 0.0000) [3 per cell]
Pt (0.0512, 0.5256, 0.2817) [18 per cell]

=====

Structure and simulated X-ray powder pattern of Ba2Sn2As2P (the GGA-PBE geometry in Alexandria; Cu Kα (λ = 1.5418 Å)).
Neutral-atom scattering factors, no anomalous dispersion.

Main lines, sorted by position (5 to 70 degrees two-theta):
2θ 22.18, rel. 13, (0 0 2); 2θ 23.48, rel. 12, (0 1 -2); 2θ 27.78, rel. 31, (0 2 -1); 2θ 28.04, rel. 24, (0 2 0); 2θ 29.15, rel. 100, (1 0 1); 2θ 29.88, rel. 15, (1 1 -1); 2θ 32.27, rel. 25, (1 1 -2); 2θ 38.10, rel. 27, (1 -2 2); 2θ 39.35, rel. 13, (0 1 3); 2θ 43.93, rel. 19, (-2 1 1)

Cell and atoms:
Cell lengths 4.1217, 6.8381, 8.4722 Å; angles 97.57, 104.08, 107.38 degrees
Space group P-1 (No. 2)
Asymmetric unit:
Ba (0.2482, 0.1972, 0.3006) [2 per cell]
Sn (0.3998, 0.6681, 0.1278) [2 per cell]
As (0.0253, 0.6947, 0.3531) [2 per cell]
P (0.5000, 0.0000, 0.0000) [1 per cell]

=====

Structure and simulated X-ray powder pattern of BaSr2AsP (the GGA-PBE geometry in Alexandria; Cu Kα (λ = 1.5418 Å)).
Neutral-atom scattering factors, no anomalous dispersion.

Main lines, sorted by position (5 to 70 degrees two-theta):
2θ 12.11, rel. 30, (0 0 1); 2θ 20.57, rel. 27, (1 0 1); 2θ 26.53, rel. 100, (1 1 1); 2θ 29.61, rel. 33, (1 0 2); 2θ 33.50, rel. 53, (2 0 0); 2θ 34.12, rel. 29, (1 1 2); 2θ 44.23, rel. 17, (1 1 3); 2θ 45.30, rel. 20, (2 1 2); 2θ 48.10, rel. 19, (2 2 0); 2θ 55.77, rel. 25, (3 1 1)

Cell and atoms:
Cell lengths 5.3502, 5.3502, 7.3071 Å; angles 90.00, 90.00, 90.00 degrees
Space group P4mm (No. 99)
Asymmetric unit:
Ba (0.0000, 0.0000, 0.0000) [1 per cell]
Sr (0.0000, 0.5000, 0.4304) [2 per cell]
As (0.5000, 0.5000, 0.1827) [1 per cell]
P (0.0000, 0.0000, 0.5912) [1 per cell]